Record 1
# KTa2O6
Simulated XRD peak list, a wavelength of 1.5418 Å. Input: a cell relaxed with GGA-PBE.
Kinematic intensities with the Lorentz-polarization factor, no thermal factor.

Cell and atoms:
Cell: 10.5787 10.5787 10.5787 Å, 90.00 90.00 90.00°
Space group Fd-3m (No. 227, origin choice 2)
One atom of each set of equivalent atoms:
K  0.1250  0.1250  0.1250
Ta  0.0000  0.0000  0.5000
O  0.0638  0.3750  0.8750

Peak list (10 most intense, 2θ from 10° to 90°, by angle)
2θ/deg, I_rel, (hkl)
14.50, 1000, 1 1 1
27.97, 917, 3 1 1
29.24, 772, 2 2 2
33.90, 189, 4 0 0
44.50, 306, 3 3 3
48.69, 411, 4 4 0
51.08, 202, 5 3 1
57.81, 347, 6 2 2
68.08, 221, 7 3 1
78.89, 142, 6 6 2

=====

Record 2
# KTa3O7
Simulated XRD peak list, a wavelength of 1.5418 Å. Input: a cell relaxed with GGA-PBE.
Kinematic intensities with the Lorentz-polarization factor, no thermal factor.

Cell and atoms:
Cell: 6.7256 12.0224 3.8190 Å, 90.00 90.00 90.00°
Space group Cmmm (No. 65)
One atom of each set of equivalent atoms:
K  0.0000  0.0000  0.0000
Ta  0.0000  0.2617  0.0000
Ta  0.0000  0.5000  0.0000
O  0.0000  0.2214  0.5000
O  0.0000  0.5000  0.5000
O  0.2208  0.3647  0.0000

Peak list (10 most intense, 2θ from 10° to 90°, by angle)
2θ/deg, I_rel, (hkl)
15.09, 506, 1 1 0
23.29, 1000, 0 0 1
26.51, 652, 2 0 0
29.72, 443, 0 4 0
35.57, 411, 2 0 1
38.10, 331, 0 4 1
40.24, 590, 2 4 0
47.01, 582, 2 4 1
47.63, 226, 0 0 2
64.07, 282, 2 4 2

=====

Record 3
# K2Ta4O11
Simulated XRD peak list, a wavelength of 1.5418 Å. Input: a cell relaxed with GGA-PBE.
Kinematic intensities with the Lorentz-polarization factor, no thermal factor.

Cell and atoms:
Cell: 6.3459 6.3459 37.3323 Å, 90.00 90.00 120.00°
Space group R-3c (No. 167, hexagonal axes)
One atom of each set of equivalent atoms:
K  0.0000  0.0000  0.1737
Ta  0.0000  0.0000  0.0000
Ta  0.0000  0.3646  0.2500
O  0.0000  0.0000  0.0935
O  0.0000  0.2443  0.7500
O  0.0377  0.2706  0.5317

Peak list (10 most intense, 2θ from 10° to 90°, by angle)
2θ/deg, I_rel, (hkl)
14.23, 460, 0 0 6
16.82, 428, 0 1 2
28.70, 528, 0 0 12
29.04, 1000, 1 1 3
31.65, 946, 1 1 6
35.62, 359, 1 1 9
46.37, 253, 1 1 15
49.77, 358, 3 0 0
52.73, 257, 1 1 18
58.47, 377, 0 3 12

=====

Record 4
# K4TaO4
Simulated XRD peak list, a wavelength of 1.5418 Å. Input: a cell relaxed with GGA-PBE.
Kinematic intensities with the Lorentz-polarization factor, no thermal factor.

Cell and atoms:
Cell: 7.0653 7.0653 9.4700 Å, 90.00 90.00 90.00°
Space group P4_2/nmc (No. 137, origin choice 2)
One atom of each set of equivalent atoms:
K  0.0128  0.2500  0.0710
Ta  0.2500  0.7500  0.2500
O  0.0400  0.7500  0.3724

Peak list (10 most intense, 2θ from 10° to 90°, by angle)
2θ/deg, I_rel, (hkl)
15.65, 1000, 1 0 1
17.75, 400, 1 1 0
25.21, 176, 2 0 0
25.93, 341, 1 1 2
29.81, 552, 2 1 1
31.03, 307, 1 0 3
31.60, 186, 2 0 2
40.38, 169, 3 1 0
40.84, 221, 2 2 2
56.66, 227, 2 1 5